Starting from a crystal structure in the Materials Project, relaxed with PBE+U, the XRD peak list of BaNiO2 was computed for a wavelength of 1.5418 Å.
Peak positions follow from Bragg's law for the DFT cell and can differ from measured ones.

Most intense lines, 15° ≤ 2θ ≤ 90°, low angle first:
- 25.94 deg, intensity 1000
- 26.71 deg, intensity 321
- 30.72 deg, intensity 355
- 32.66 deg, intensity 828
- 41.15 deg, intensity 510
- 41.99 deg, intensity 397
- 53.34 deg, intensity 166
- 55.02 deg, intensity 151
- 55.17 deg, intensity 159
- 55.85 deg, intensity 171
- 62.44 deg, intensity 151
- 64.34 deg, intensity 139

Structural model:
Unit cell a=5.4960 b=5.4960 c=4.7816 alpha=90.00 beta=90.00 gamma=116.04
Element x y z (fractional)
1 Ba 0.1538 0.8462 0.7500
2 Ba 0.8462 0.1538 0.2500
3 Ni 0.5000 0.5000 0.0000
4 Ni 0.5000 0.5000 0.5000
5 O 0.1993 0.3618 0.7500
6 O 0.3618 0.1993 0.2500
7 O 0.6382 0.8007 0.7500
8 O 0.8007 0.6382 0.2500



Starting from a crystal structure in the Materials Project, relaxed with PBE+U, the XRD peak list of Ca4Mn5AlSi6O28 was computed for a wavelength of 1.5418 Å.
Peak positions follow from Bragg's law for the DFT cell and can differ from measured ones.

Most intense lines, 15° ≤ 2θ ≤ 90°, low angle first:
- 17.92 deg, intensity 669
- 18.61 deg, intensity 244
- 23.48 deg, intensity 1000
- 29.53 deg, intensity 415
- 30.29 deg, intensity 517
- 30.78 deg, intensity 328
- 31.98 deg, intensity 677
- 34.41 deg, intensity 547
- 35.29 deg, intensity 297
- 56.83 deg, intensity 281
- 58.06 deg, intensity 343
- 61.54 deg, intensity 323

Structural model:
Unit cell a=6.0303 b=8.7165 c=10.3751 alpha=72.63 beta=88.35 gamma=89.48
Element x y z (fractional)
1 Ca 0.2470 0.2629 0.3177
2 Ca 0.2533 0.1652 0.6884
3 Ca 0.7467 0.8348 0.3116
4 Ca 0.7530 0.7371 0.6823
5 Mn 0.0000 0.0000 0.0000
6 Mn 0.0000 0.5000 0.5000
7 Mn 0.5000 0.0000 0.0000
8 Mn 0.5000 0.5000 0.0000
9 Mn 0.5000 0.5000 0.5000
10 Al 0.0000 0.5000 0.0000
11 Si 0.2383 0.7822 0.8137
12 Si 0.2474 0.6951 0.1915
13 Si 0.2506 0.8344 0.5038
14 Si 0.7494 0.1656 0.4962
15 Si 0.7526 0.3049 0.8085
16 Si 0.7617 0.2178 0.1863
17 O 0.0199 0.7262 0.5046
18 O 0.0233 0.6675 0.8450
19 O 0.0275 0.8113 0.1584
20 O 0.2250 0.9247 0.8895
21 O 0.2259 0.5562 0.3439
22 O 0.2431 0.4423 0.6117
23 O 0.2439 0.8830 0.6508
24 O 0.2456 0.0924 0.0563
25 O 0.2485 0.9983 0.3837
26 O 0.2496 0.5842 0.0850
27 O 0.2583 0.4084 0.9370
28 O 0.4671 0.8080 0.1686
29 O 0.4727 0.6842 0.8439
30 O 0.4821 0.7287 0.5056
31 O 0.5179 0.2713 0.4944
32 O 0.5273 0.3158 0.1561
33 O 0.5329 0.1920 0.8314
34 O 0.7417 0.5916 0.0630
35 O 0.7504 0.4158 0.9150
36 O 0.7515 0.0017 0.6163
37 O 0.7544 0.9076 0.9437
38 O 0.7561 0.1170 0.3492
39 O 0.7569 0.5577 0.3883
40 O 0.7741 0.4438 0.6561
41 O 0.7750 0.0753 0.1105
42 O 0.9725 0.1887 0.8416
43 O 0.9767 0.3325 0.1550
44 O 0.9801 0.2738 0.4954



Starting from a crystal structure in the Materials Project, relaxed with PBE+U, the XRD peak list of Fe6H12PbS4O28 was computed for a wavelength of 1.5418 Å.
Peak positions follow from Bragg's law for the DFT cell and can differ from measured ones.

Most intense lines, 15° ≤ 2θ ≤ 90°, low angle first:
- 18.87 deg, intensity 211
- 24.12 deg, intensity 195
- 25.33 deg, intensity 223
- 28.40 deg, intensity 183
- 28.69 deg, intensity 1000
- 29.79 deg, intensity 183
- 34.86 deg, intensity 253
- 38.95 deg, intensity 310
- 45.36 deg, intensity 308
- 49.39 deg, intensity 286
- 59.41 deg, intensity 189
- 60.71 deg, intensity 182

Structural model:
Unit cell a=12.3333 b=12.3333 c=12.3333 alpha=34.82 beta=34.82 gamma=34.82
Element x y z (fractional)
1 Fe 0.2525 0.2525 0.7467
2 Fe 0.2525 0.7467 0.2525
3 Fe 0.2533 0.7475 0.7475
4 Fe 0.7467 0.2525 0.2525
5 Fe 0.7475 0.2533 0.7475
6 Fe 0.7475 0.7475 0.2533
7 H 0.0774 0.6370 0.6370
8 H 0.1422 0.1422 0.5447
9 H 0.1422 0.5447 0.1422
10 H 0.3630 0.3630 0.9226
11 H 0.3630 0.9226 0.3630
12 H 0.4553 0.8578 0.8578
13 H 0.5447 0.1422 0.1422
14 H 0.6370 0.0774 0.6370
15 H 0.6370 0.6370 0.0774
16 H 0.8578 0.4553 0.8578
17 H 0.8578 0.8578 0.4553
18 H 0.9226 0.3630 0.3630
19 Pb 0.0000 0.0000 0.0000
20 S 0.1525 0.1525 0.1525
21 S 0.3447 0.3447 0.3447
22 S 0.6553 0.6553 0.6553
23 S 0.8475 0.8475 0.8475
24 O 0.0601 0.0601 0.6865
25 O 0.0601 0.6865 0.0601
26 O 0.0827 0.7514 0.7514
27 O 0.1646 0.5629 0.5629
28 O 0.1949 0.1949 0.1949
29 O 0.2492 0.2492 0.5800
30 O 0.2486 0.2486 0.9173
31 O 0.2492 0.5800 0.2492
32 O 0.2486 0.9173 0.2486
33 O 0.3022 0.3022 0.3022
34 O 0.3135 0.9399 0.9399
35 O 0.4200 0.7508 0.7508
36 O 0.4371 0.4371 0.8354
37 O 0.4371 0.8354 0.4371
38 O 0.5629 0.1646 0.5629
39 O 0.5629 0.5629 0.1646
40 O 0.5800 0.2492 0.2492
41 O 0.6865 0.0601 0.0601
42 O 0.6978 0.6978 0.6978
43 O 0.7514 0.0827 0.7514
44 O 0.7508 0.4200 0.7508
45 O 0.7514 0.7514 0.0827
46 O 0.7508 0.7508 0.4200
47 O 0.8051 0.8051 0.8051
48 O 0.8354 0.4371 0.4371
49 O 0.9173 0.2486 0.2486
50 O 0.9399 0.3135 0.9399
51 O 0.9399 0.9399 0.3135



Starting from a crystal structure in the Materials Project, relaxed with PBE+U, the XRD peak list of CaMn2O5 was computed for a wavelength of 1.5418 Å.
Peak positions follow from Bragg's law for the DFT cell and can differ from measured ones.

Most intense lines, 15° ≤ 2θ ≤ 90°, low angle first:
- 16.34 deg, intensity 1000
- 22.64 deg, intensity 223
- 24.82 deg, intensity 532
- 26.04 deg, intensity 244
- 28.69 deg, intensity 521
- 34.39 deg, intensity 401
- 35.15 deg, intensity 218
- 47.87 deg, intensity 419
- 50.93 deg, intensity 177
- 51.05 deg, intensity 134
- 56.76 deg, intensity 123
- 58.75 deg, intensity 157

Structural model:
Unit cell a=5.7473 b=5.7473 c=11.3941 alpha=90.00 beta=90.00 gamma=141.37
Element x y z (fractional)
1 Ca 0.0950 0.9050 0.7500
2 Ca 0.9050 0.0950 0.2500
3 Mn 0.2114 0.7886 0.0961
4 Mn 0.2114 0.7886 0.4039
5 Mn 0.7886 0.2114 0.5961
6 Mn 0.7886 0.2114 0.9039
7 O 0.0558 0.9442 0.1200
8 O 0.0558 0.9442 0.3800
9 O 0.2438 0.7562 0.5752
10 O 0.2438 0.7562 0.9248
11 O 0.2819 0.7181 0.2500
12 O 0.7181 0.2819 0.7500
13 O 0.7562 0.2438 0.0752
14 O 0.7562 0.2438 0.4248
15 O 0.9442 0.0558 0.6200
16 O 0.9442 0.0558 0.8800



Starting from a crystal structure in the Materials Project, relaxed with PBE+U, the XRD peak list of LiVP2H2O8 was computed for a wavelength of 1.5418 Å.
Peak positions follow from Bragg's law for the DFT cell and can differ from measured ones.

Most intense lines, 15° ≤ 2θ ≤ 90°, low angle first:
- 16.27 deg, intensity 261
- 20.38 deg, intensity 1000
- 20.91 deg, intensity 242
- 21.80 deg, intensity 248
- 23.51 deg, intensity 459
- 24.28 deg, intensity 574
- 24.83 deg, intensity 691
- 27.05 deg, intensity 543
- 27.22 deg, intensity 259
- 27.56 deg, intensity 883
- 28.81 deg, intensity 265
- 29.98 deg, intensity 241

Structural model:
Unit cell a=9.8093 b=9.8093 c=8.6306 alpha=106.84 beta=106.84 gamma=117.27
Element x y z (fractional)
1 Li 0.1025 0.8975 0.5000
2 Li 0.2898 0.5797 0.9759
3 Li 0.5797 0.2898 0.4759
4 Li 0.8975 0.1025 0.0000
5 V 0.0388 0.6750 0.7451
6 V 0.2610 0.5842 0.3392
7 V 0.5842 0.2610 0.8392
8 V 0.6750 0.0388 0.2451
9 P 0.2719 0.8691 0.2136
10 P 0.2859 0.3184 0.6346
11 P 0.3184 0.2859 0.1346
12 P 0.4323 0.8804 0.7835
13 P 0.7520 0.8093 0.1500
14 P 0.8093 0.7520 0.6500
15 P 0.8691 0.2719 0.7136
16 P 0.8804 0.4323 0.2835
17 H 0.0054 0.1428 0.5666
18 H 0.1228 0.2136 0.3408
19 H 0.1428 0.0054 0.0666
20 H 0.2136 0.1228 0.8408
21 H 0.5447 0.5949 0.8775
22 H 0.5949 0.5447 0.3775
23 H 0.6426 0.8188 0.7120
24 H 0.8188 0.6426 0.2120
25 O 0.0041 0.8737 0.7046
26 O 0.0104 0.4601 0.7596
27 O 0.0149 0.4036 0.2448
28 O 0.1167 0.1467 0.5971
29 O 0.1361 0.8233 0.0185
30 O 0.1467 0.1167 0.0971
31 O 0.2245 0.9282 0.3576
32 O 0.2267 0.3305 0.4496
33 O 0.2616 0.6965 0.1889
34 O 0.2821 0.7576 0.8048
35 O 0.2889 0.4299 0.1614
36 O 0.3305 0.2267 0.9496
37 O 0.3502 0.4878 0.7941
38 O 0.4036 0.0149 0.7448
39 O 0.4299 0.2889 0.6614
40 O 0.4328 0.7663 0.6105
41 O 0.4601 0.0104 0.2596
42 O 0.4878 0.3502 0.2941
43 O 0.5924 0.7883 0.1700
44 O 0.6108 0.9844 0.9616
45 O 0.6638 0.6808 0.4519
46 O 0.6808 0.6638 0.9519
47 O 0.6965 0.2616 0.6889
48 O 0.7576 0.2821 0.3048
49 O 0.7663 0.4328 0.1105
50 O 0.7681 0.8598 0.7794
51 O 0.7883 0.5924 0.6700
52 O 0.8233 0.1361 0.5185
53 O 0.8598 0.7681 0.2794
54 O 0.8737 0.0041 0.2046
55 O 0.9282 0.2245 0.8576
56 O 0.9844 0.6108 0.4616



Starting from a crystal structure in the Materials Project, relaxed with PBE+U, the XRD peak list of Ca2TiWO6 was computed for a wavelength of 1.5418 Å.
Peak positions follow from Bragg's law for the DFT cell and can differ from measured ones.

Most intense lines, 15° ≤ 2θ ≤ 90°, low angle first:
- 19.46 deg, intensity 371
- 19.73 deg, intensity 355
- 22.67 deg, intensity 686
- 31.94 deg, intensity 248
- 32.27 deg, intensity 1000
- 32.63 deg, intensity 236
- 37.83 deg, intensity 163
- 38.01 deg, intensity 157
- 38.31 deg, intensity 132
- 46.29 deg, intensity 448
- 57.13 deg, intensity 177
- 57.90 deg, intensity 180

Structural model:
Unit cell a=5.4893 b=5.6044 c=9.5618 alpha=90.00 beta=124.84 gamma=90.00
Element x y z (fractional)
1 Ca 0.2391 0.0503 0.2505
2 Ca 0.2391 0.4497 0.7505
3 Ca 0.7609 0.5503 0.2495
4 Ca 0.7609 0.9497 0.7495
5 Ti 0.5000 0.0000 0.0000
6 Ti 0.5000 0.5000 0.5000
7 W 0.0000 0.0000 0.5000
8 W 0.0000 0.5000 0.0000
9 O 0.1595 0.2027 0.9537
10 O 0.1595 0.2973 0.4537
11 O 0.2605 0.7117 0.9546
12 O 0.2605 0.7883 0.4546
13 O 0.3452 0.0236 0.7553
14 O 0.3452 0.4764 0.2553
15 O 0.6548 0.5236 0.7447
16 O 0.6548 0.9764 0.2447
17 O 0.7395 0.2117 0.5454
18 O 0.7395 0.2883 0.0454
19 O 0.8405 0.7027 0.5463
20 O 0.8405 0.7973 0.0463